For LaNdZn2, a cell relaxed with PBE gives the theoretical powder diffractogram in this record (Cu Kα (weighted mean of Kα1 and Kα2)).

Largest 10 diffraction maxima, by angle, 2θ = 10–90°:
2θ (°)  I (rel.)
23.86  130
34.00  1000
41.96  40
48.84  178
55.07  56
60.85  363
71.56  110
76.66  28
81.65  154
86.57  17

Crystal structure
```
16
Lattice="7.458 0.000 0.000 0.000 7.458 0.000 0.000 0.000 7.458" Properties=species:S:1:pos:R:3 pbc="T T T"
La 0.000 0.000 0.000
La 0.000 3.729 3.729
La 3.729 0.000 3.729
La 3.729 3.729 0.000
Nd 0.000 0.000 3.729
Nd 0.000 3.729 0.000
Nd 3.729 0.000 0.000
Nd 3.729 3.729 3.729
Zn 1.865 1.865 1.865
Zn 1.865 1.865 5.594
Zn 1.865 5.594 1.865
Zn 1.865 5.594 5.594
Zn 5.594 1.865 1.865
Zn 5.594 1.865 5.594
Zn 5.594 5.594 1.865
Zn 5.594 5.594 5.594
```